[1]
Computed powder diffraction line list
Compound: YMoO3
Radiation: a wavelength of 1.5418 Å
Structure: a structure optimized by DFT (PBE+U)

Atomic structure:
Lattice parameters (Å, degrees): 4.088 4.088 4.088 90.00 90.00 90.00
Fractional coordinates of all 5 atoms:
Y 0.000 0.000 0.000
Mo 0.500 0.500 0.500
O 0.000 0.500 0.500
O 0.500 0.000 0.500
O 0.500 0.500 0.000

Top 10 peaks for 10 to 90 degrees two-theta, in order of rising 2θ:
2θ/deg, d/Å, I/Imax
21.7, 4.088, 3
30.9, 2.891, 100
38.1, 2.360, 2
44.3, 2.044, 34
49.9, 1.828, 1
55.0, 1.669, 39
64.5, 1.445, 20
73.2, 1.293, 17
81.6, 1.180, 7
89.8, 1.093, 21

---

[2]
Computed powder diffraction line list
Compound: Y2Mo3O12
Radiation: a wavelength of 1.5418 Å
Structure: a structure optimized by DFT (PBE+U)

Atomic structure:
Lattice parameters (Å, degrees): 7.460 7.460 10.754 90.00 90.00 90.00
Fractional coordinates of all 34 atoms:
Y 0.187 0.313 0.238
Y 0.313 0.813 0.762
Y 0.687 0.187 0.762
Y 0.813 0.687 0.238
Mo 0.000 0.000 0.500
Mo 0.206 0.294 0.857
Mo 0.294 0.794 0.143
Mo 0.500 0.500 0.500
Mo 0.706 0.206 0.143
Mo 0.794 0.706 0.857
O 0.007 0.774 0.799
O 0.044 0.190 0.403
O 0.127 0.627 0.191
O 0.190 0.956 0.597
O 0.194 0.306 0.022
O 0.226 0.007 0.201
O 0.274 0.507 0.799
O 0.306 0.806 0.978
O 0.310 0.456 0.403
O 0.373 0.127 0.809
O 0.456 0.690 0.597
O 0.493 0.274 0.201
O 0.507 0.726 0.201
O 0.544 0.310 0.597
O 0.627 0.873 0.809
O 0.690 0.544 0.403
O 0.694 0.194 0.978
O 0.726 0.493 0.799
O 0.774 0.993 0.201
O 0.806 0.694 0.022
O 0.810 0.044 0.597
O 0.873 0.373 0.191
O 0.956 0.810 0.403
O 0.993 0.226 0.799

Top 10 peaks for 10 to 90 degrees two-theta, in order of rising 2θ:
2θ/deg, d/Å, I/Imax
18.7, 4.736, 68
23.6, 3.766, 99
23.9, 3.730, 47
24.8, 3.585, 56
25.3, 3.524, 100
26.7, 3.336, 74
29.1, 3.065, 66
30.1, 2.965, 46
44.3, 2.043, 33
45.5, 1.992, 42

---

[3]
Computed powder diffraction line list
Compound: ZnMo2O4
Radiation: a wavelength of 1.5418 Å
Structure: a structure optimized by DFT (PBE+U)

Atomic structure:
Lattice parameters (Å, degrees): 6.329 6.329 6.329 60.89 60.89 60.89
Fractional coordinates of all 14 atoms:
Zn 0.000 0.000 0.000
Zn 0.375 0.375 0.375
Mo 0.379 0.379 0.882
Mo 0.379 0.882 0.379
Mo 0.766 0.766 0.766
Mo 0.882 0.379 0.379
O 0.136 0.136 0.136
O 0.136 0.136 0.606
O 0.136 0.606 0.136
O 0.157 0.620 0.620
O 0.606 0.136 0.136
O 0.617 0.617 0.617
O 0.620 0.157 0.620
O 0.620 0.620 0.157

Top 10 peaks for 10 to 90 degrees two-theta, in order of rising 2θ:
2θ/deg, d/Å, I/Imax
28.2, 3.164, 41
32.8, 2.733, 86
32.9, 2.720, 100
33.3, 2.693, 68
34.3, 2.613, 41
40.0, 2.252, 44
52.5, 1.742, 26
52.8, 1.735, 40
57.5, 1.604, 56
58.3, 1.582, 50

---

[4]
Computed powder diffraction line list
Compound: ZnMo2O4
Radiation: a wavelength of 1.5418 Å
Structure: a structure optimized by DFT (PBE+U)

Atomic structure:
Lattice parameters (Å, degrees): 6.410 6.410 20.716 94.24 94.24 58.05
Fractional coordinates of all 56 atoms:
Zn 0.000 0.000 0.000
Zn 0.264 0.264 0.750
Zn 0.386 0.386 0.625
Zn 0.512 0.512 0.502
Zn 0.525 0.525 0.092
Zn 0.624 0.624 0.376
Zn 0.738 0.738 0.250
Zn 0.785 0.785 0.842
Mo 0.003 0.504 0.999
Mo 0.010 0.509 0.500
Mo 0.038 0.038 0.593
Mo 0.131 0.131 0.873
Mo 0.215 0.215 0.155
Mo 0.246 0.740 0.250
Mo 0.263 0.762 0.749
Mo 0.271 0.271 0.345
Mo 0.479 0.479 0.906
Mo 0.504 0.003 0.999
Mo 0.509 0.010 0.500
Mo 0.735 0.735 0.658
Mo 0.740 0.246 0.250
Mo 0.762 0.263 0.749
Mo 0.869 0.869 0.124
Mo 0.978 0.978 0.406
O 0.036 0.036 0.182
O 0.070 0.575 0.192
O 0.092 0.092 0.693
O 0.097 0.591 0.692
O 0.167 0.683 0.058
O 0.172 0.172 0.055
O 0.182 0.679 0.555
O 0.217 0.217 0.568
O 0.300 0.300 0.931
O 0.331 0.840 0.942
O 0.338 0.338 0.443
O 0.338 0.841 0.443
O 0.415 0.913 0.305
O 0.428 0.942 0.807
O 0.434 0.434 0.805
O 0.448 0.448 0.317
O 0.557 0.557 0.681
O 0.565 0.565 0.191
O 0.575 0.070 0.192
O 0.591 0.097 0.692
O 0.679 0.182 0.555
O 0.683 0.167 0.058
O 0.683 0.683 0.556
O 0.699 0.699 0.063
O 0.801 0.801 0.432
O 0.827 0.827 0.941
O 0.840 0.331 0.942
O 0.841 0.338 0.443
O 0.913 0.415 0.305
O 0.914 0.914 0.306
O 0.942 0.428 0.807
O 0.960 0.960 0.813

Top 10 peaks for 10 to 90 degrees two-theta, in order of rising 2θ:
2θ/deg, d/Å, I/Imax
28.0, 3.192, 48
31.7, 2.822, 100
32.0, 2.793, 39
33.6, 2.664, 92
33.8, 2.655, 73
34.0, 2.638, 62
34.2, 2.620, 66
34.5, 2.601, 39
57.1, 1.612, 62
57.8, 1.596, 55

---

[5]
Computed powder diffraction line list
Compound: ZnMo3O7
Radiation: a wavelength of 1.5418 Å
Structure: a structure optimized by DFT (PBE+U)

Atomic structure:
Lattice parameters (Å, degrees): 9.885 11.266 5.895 90.00 90.00 90.00
Fractional coordinates of all 44 atoms:
Zn 0.016 0.250 0.133
Zn 0.484 0.750 0.633
Zn 0.516 0.250 0.367
Zn 0.984 0.750 0.867
Mo 0.182 0.522 0.704
Mo 0.182 0.978 0.704
Mo 0.212 0.750 0.215
Mo 0.288 0.250 0.715
Mo 0.318 0.022 0.204
Mo 0.318 0.478 0.204
Mo 0.682 0.522 0.796
Mo 0.682 0.978 0.796
Mo 0.712 0.750 0.285
Mo 0.788 0.250 0.785
Mo 0.818 0.022 0.296
Mo 0.818 0.478 0.296
O 0.015 0.597 0.730
O 0.015 0.903 0.730
O 0.024 0.750 0.196
O 0.230 0.111 0.938
O 0.230 0.389 0.938
O 0.247 0.115 0.491
O 0.247 0.385 0.491
O 0.253 0.615 0.991
O 0.253 0.885 0.991
O 0.270 0.611 0.438
O 0.270 0.889 0.438
O 0.476 0.250 0.696
O 0.485 0.097 0.230
O 0.485 0.403 0.230
O 0.515 0.597 0.770
O 0.515 0.903 0.770
O 0.524 0.750 0.304
O 0.730 0.111 0.562
O 0.730 0.389 0.562
O 0.747 0.115 0.009
O 0.747 0.385 0.009
O 0.753 0.615 0.509
O 0.753 0.885 0.509
O 0.770 0.611 0.062
O 0.770 0.889 0.062
O 0.976 0.250 0.804
O 0.985 0.097 0.270
O 0.985 0.403 0.270

Top 10 peaks for 10 to 90 degrees two-theta, in order of rising 2θ:
2θ/deg, d/Å, I/Imax
17.9, 4.943, 54
24.0, 3.715, 29
24.8, 3.590, 62
28.2, 3.167, 32
28.4, 3.143, 100
30.3, 2.947, 33
31.7, 2.819, 46
42.8, 2.113, 40
44.5, 2.036, 27
48.3, 1.883, 28

---

[6]
Computed powder diffraction line list
Compound: ZnMo8O10
Radiation: a wavelength of 1.5418 Å
Structure: a structure optimized by DFT (PBE+U)

Atomic structure:
Lattice parameters (Å, degrees): 13.581 13.581 13.581 152.70 152.70 38.99
Fractional coordinates of all 38 atoms:
Zn 0.000 0.000 0.000
Zn 0.750 0.250 0.500
Mo 0.104 0.870 0.234
Mo 0.108 0.373 0.735
Mo 0.123 0.358 0.235
Mo 0.123 0.887 0.765
Mo 0.283 0.537 0.746
Mo 0.287 0.040 0.754
Mo 0.287 0.533 0.246
Mo 0.450 0.179 0.729
Mo 0.450 0.721 0.271
Mo 0.471 0.700 0.771
Mo 0.620 0.354 0.734
Mo 0.620 0.887 0.266
Mo 0.637 0.373 0.265
Mo 0.637 0.870 0.766
Mo 0.790 0.537 0.254
Mo 0.929 0.700 0.229
O 0.040 0.308 0.269
O 0.040 0.771 0.731
O 0.058 0.290 0.769
O 0.066 0.786 0.280
O 0.205 0.500 0.296
O 0.205 0.909 0.704
O 0.212 0.955 0.258
O 0.250 0.455 0.796
O 0.370 0.120 0.250
O 0.506 0.786 0.720
O 0.521 0.290 0.231
O 0.536 0.316 0.780
O 0.536 0.756 0.220
O 0.659 0.455 0.204
O 0.697 0.955 0.742
O 0.705 0.462 0.758
O 0.705 0.947 0.242
O 0.870 0.120 0.250
O 0.870 0.120 0.750
O 0.870 0.620 0.750

Top 10 peaks for 10 to 90 degrees two-theta, in order of rising 2θ:
2θ/deg, d/Å, I/Imax
22.2, 4.001, 23
28.1, 3.177, 40
28.7, 3.108, 25
31.4, 2.848, 34
35.0, 2.563, 100
39.8, 2.266, 68
42.3, 2.134, 38
57.5, 1.602, 29
59.5, 1.553, 50
69.1, 1.359, 28

---

[7]
Computed powder diffraction line list
Compound: ZnMoO4
Radiation: a wavelength of 1.5418 Å
Structure: a structure optimized by DFT (PBE+U)

Atomic structure:
Lattice parameters (Å, degrees): 4.750 5.845 4.967 90.00 90.96 90.00
Fractional coordinates of all 12 atoms:
Zn 0.000 0.190 0.250
Zn 0.000 0.810 0.750
Mo 0.500 0.315 0.750
Mo 0.500 0.685 0.250
O 0.243 0.126 0.594
O 0.243 0.874 0.094
O 0.284 0.395 0.062
O 0.284 0.605 0.562
O 0.716 0.395 0.438
O 0.716 0.605 0.938
O 0.757 0.126 0.906
O 0.757 0.874 0.406

Top 10 peaks for 10 to 90 degrees two-theta, in order of rising 2θ:
2θ/deg, d/Å, I/Imax
24.1, 3.686, 38
30.0, 2.978, 100
30.4, 2.942, 94
30.6, 2.923, 24
35.6, 2.519, 21
36.2, 2.483, 23
50.6, 1.803, 24
52.9, 1.731, 17
53.2, 1.721, 19
64.0, 1.454, 24

---

[8]
Computed powder diffraction line list
Compound: ZnMo2O4
Radiation: a wavelength of 1.5418 Å
Structure: a structure optimized by DFT (PBE+U)

Atomic structure:
Lattice parameters (Å, degrees): 6.389 6.389 15.439 91.08 91.08 59.33
Fractional coordinates of all 42 atoms:
Zn 0.000 0.000 0.000
Zn 0.000 0.000 0.372
Zn 0.334 0.334 0.085
Zn 0.335 0.335 0.330
Zn 0.663 0.663 0.668
Zn 0.998 0.998 0.751
Mo 0.001 0.497 0.876
Mo 0.162 0.162 0.541
Mo 0.163 0.663 0.542
Mo 0.330 0.330 0.709
Mo 0.332 0.838 0.210
Mo 0.497 0.001 0.876
Mo 0.498 0.498 0.876
Mo 0.663 0.163 0.542
Mo 0.667 0.667 0.043
Mo 0.667 0.667 0.418
Mo 0.838 0.332 0.210
Mo 0.839 0.839 0.209
O 0.001 0.001 0.133
O 0.013 0.491 0.622
O 0.157 0.157 0.294
O 0.165 0.686 0.289
O 0.168 0.648 0.795
O 0.175 0.175 0.794
O 0.315 0.827 0.467
O 0.327 0.327 0.466
O 0.335 0.335 0.952
O 0.350 0.828 0.956
O 0.485 0.485 0.625
O 0.491 0.013 0.622
O 0.508 0.982 0.129
O 0.512 0.512 0.127
O 0.648 0.168 0.795
O 0.662 0.662 0.800
O 0.678 0.678 0.283
O 0.686 0.165 0.289
O 0.823 0.823 0.958
O 0.827 0.315 0.467
O 0.828 0.350 0.956
O 0.851 0.851 0.455
O 0.982 0.508 0.129
O 0.999 0.999 0.618

Top 10 peaks for 10 to 90 degrees two-theta, in order of rising 2θ:
2θ/deg, d/Å, I/Imax
17.1, 5.192, 35
32.7, 2.737, 45
33.2, 2.697, 100
33.3, 2.691, 46
33.4, 2.679, 48
34.5, 2.596, 47
40.5, 2.227, 40
53.4, 1.716, 32
57.7, 1.597, 43
58.1, 1.587, 42